Starting from a crystal structure in Alexandria, relaxed with GGA-PBE, the X-ray diffraction stick pattern of NaZnAgGe was calculated for Cu Kα.

Most intense lines, 10° ≤ 2θ ≤ 90°, low angle first:
d [Å]	I/Imax	h k l
4.659	457	0 0 1
3.709	226	2 0 -1
3.370	351	1 1 -1
2.587	656	1 1 1
2.261	676	2 0 1
2.221	1000	0 2 0
2.005	286	3 1 0
1.585	211	2 2 1
1.290	204	5 1 0
1.273	272	0 2 3

Structural model:
Unit cell a=7.688 b=4.447 c=5.317 alpha=90.00 beta=118.80 gamma=90.00
Space group Cm (No. 8)
Inequivalent atoms, fractional coordinates:
Na 0.000 0.000 0.000 x2
Zn 0.207 0.000 0.623 x2
Ag 0.278 0.500 0.333 x2
Ge 0.052 0.500 0.658 x2

=====

Starting from a crystal structure in Alexandria, relaxed with GGA-PBE, the X-ray diffraction stick pattern of KTiPb2O4 was calculated for Cu Kα.

Most intense lines, 10° ≤ 2θ ≤ 90°, low angle first:
d [Å]	I/Imax	h k l
5.401	610	0 0 2
4.199	348	0 2 0
3.507	246	2 0 0
3.315	1000	0 2 2
2.941	886	2 0 2
2.700	256	0 0 4
2.692	508	2 2 0
2.409	426	2 2 2
1.906	483	2 2 4
1.709	318	2 4 2

Structural model:
Unit cell a=7.013 b=8.398 c=10.801 alpha=90.00 beta=90.00 gamma=90.00
Space group Fmm2 (No. 42)
Inequivalent atoms, fractional coordinates:
K 0.000 0.000 0.000 x4
Ti 0.000 0.000 0.451 x4
Pb 0.250 0.250 0.234 x8
O 0.000 0.177 0.548 x8
O 0.214 0.000 0.346 x8

=====

Starting from a crystal structure in Alexandria, relaxed with GGA-PBE, the X-ray diffraction stick pattern of Ca5ZnCd was calculated for Cu Kα.

Most intense lines, 10° ≤ 2θ ≤ 90°, low angle first:
d [Å]	I/Imax	h k l
5.780	781	2 0 0
4.522	700	1 1 -2
3.074	690	2 2 -1
3.056	1000	2 2 0
2.951	358	4 0 -2
2.905	786	2 0 -4
2.888	443	4 0 0
2.628	524	3 1 2
2.227	337	0 2 4
2.126	340	1 3 2

Structural model:
Unit cell a=12.098 b=7.201 c=11.860 alpha=90.00 beta=107.15 gamma=90.00
Space group C2/c (No. 15)
Inequivalent atoms, fractional coordinates:
Ca 0.000 0.042 0.250 x4
Ca 0.123 0.352 0.030 x8
Ca 0.226 0.169 0.647 x8
Zn 0.000 0.000 0.000 x4
Cd 0.000 0.470 0.750 x4

=====

Copy entry 1 word for word.
Starting from a crystal structure in Alexandria, relaxed with GGA-PBE, the X-ray diffraction stick pattern of NaZnAgGe was calculated for Cu Kα.

Most intense lines, 10° ≤ 2θ ≤ 90°, low angle first:
d [Å]	I/Imax	h k l
4.659	457	0 0 1
3.709	226	2 0 -1
3.370	351	1 1 -1
2.587	656	1 1 1
2.261	676	2 0 1
2.221	1000	0 2 0
2.005	286	3 1 0
1.585	211	2 2 1
1.290	204	5 1 0
1.273	272	0 2 3

Structural model:
Unit cell a=7.688 b=4.447 c=5.317 alpha=90.00 beta=118.80 gamma=90.00
Space group Cm (No. 8)
Inequivalent atoms, fractional coordinates:
Na 0.000 0.000 0.000 x2
Zn 0.207 0.000 0.623 x2
Ag 0.278 0.500 0.333 x2
Ge 0.052 0.500 0.658 x2